This entry pairs a crystal structure of TaCu5 with its computed powder X-ray diffraction pattern. Radiation: a wavelength of 1.5418 Å. Structure: a PBE-relaxed structure.

The 12 most intense peaks (10 to 80 degrees two-theta), sorted by position:
- 2θ 23.55, 3.777 Å, I 32
- 2θ 24.35, 3.656 Å, I 20
- 2θ 33.82, 2.650 Å, I 22
- 2θ 39.48, 2.282 Å, I 19
- 2θ 40.57, 2.224 Å, I 100
- 2θ 41.45, 2.179 Å, I 52
- 2θ 42.37, 2.133 Å, I 60
- 2θ 43.50, 2.080 Å, I 31
- 2θ 43.65, 2.074 Å, I 29
- 2θ 45.18, 2.007 Å, I 26
- 2θ 45.39, 1.998 Å, I 53
- 2θ 48.49, 1.877 Å, I 29

Structural model:
Cell lengths 8.657, 8.657, 4.901 Å; angles 99.44, 99.44, 115.27 degrees
Atoms (fractional coordinates):
Ta 0.248 0.752 0.000
Ta 0.259 0.259 0.319
Ta 0.741 0.741 0.681
Ta 0.752 0.248 0.000
Cu 0.028 0.762 0.589
Cu 0.051 0.051 0.785
Cu 0.081 0.391 0.927
Cu 0.142 0.558 0.421
Cu 0.238 0.972 0.411
Cu 0.318 0.318 0.856
Cu 0.391 0.081 0.927
Cu 0.407 0.589 0.251
Cu 0.411 0.593 0.749
Cu 0.442 0.858 0.579
Cu 0.558 0.142 0.421
Cu 0.589 0.407 0.251
Cu 0.593 0.411 0.749
Cu 0.609 0.919 0.073
Cu 0.682 0.682 0.144
Cu 0.762 0.028 0.589
Cu 0.858 0.442 0.579
Cu 0.919 0.609 0.073
Cu 0.949 0.949 0.215
Cu 0.972 0.238 0.411


This entry pairs a crystal structure of Ge2IrSe with its computed powder X-ray diffraction pattern. Radiation: a wavelength of 1.5418 Å. Structure: a PBE-relaxed structure.

The 12 most intense peaks (10 to 80 degrees two-theta), sorted by position:
- 2θ 10.61, 8.340 Å, I 100
- 2θ 26.18, 3.403 Å, I 30
- 2θ 26.73, 3.335 Å, I 18
- 2θ 30.81, 2.902 Å, I 23
- 2θ 32.21, 2.779 Å, I 11
- 2θ 38.95, 2.312 Å, I 18
- 2θ 40.48, 2.228 Å, I 12
- 2θ 41.98, 2.152 Å, I 40
- 2θ 43.76, 2.068 Å, I 17
- 2θ 46.20, 1.965 Å, I 28
- 2θ 48.86, 1.864 Å, I 13
- 2θ 50.13, 1.820 Å, I 22

Structural model:
Cell lengths 3.728, 8.340, 5.557 Å; angles 90.00, 90.00, 90.00 degrees
Atoms (fractional coordinates):
Ge 0.000 0.117 0.000
Ge 0.000 0.883 0.500
Ge 0.500 0.246 0.570
Ge 0.500 0.754 0.070
Ir 0.500 0.031 0.270
Ir 0.500 0.969 0.770
Se 0.000 0.391 0.794
Se 0.000 0.609 0.294